(1)
The following is a computed powder XRD pattern of Y4Pd7Au. It was derived from a cell relaxed with GGA-PBE, using Cu Kα (weighted mean of Kα1 and Kα2).

The 10 most intense peaks (2θ from 10° to 90°), by intensity:
2theta, d_spacing, I/Imax
34.28, 2.616, 100
34.41, 2.606, 85
38.50, 2.338, 83
44.33, 2.043, 68
36.28, 2.476, 63
41.06, 2.198, 62
34.88, 2.572, 59
41.23, 2.190, 52
42.28, 2.138, 51
37.63, 2.391, 50

Cell and atoms:
Cell: 5.4935 5.6112 8.2172 Å, 87.68 77.55 76.31°
Fractional coordinates of all 12 atoms:
Y  0.0466  0.3455  0.2048
Y  0.3874  0.7435  0.3534
Y  0.6126  0.2565  0.6466
Y  0.9534  0.6545  0.7952
Pd  0.0192  0.8384  0.1258
Pd  0.1552  0.2508  0.5406
Pd  0.4129  0.8086  0.7159
Pd  0.5000  0.5000  0.0000
Pd  0.5871  0.1914  0.2841
Pd  0.8448  0.7492  0.4594
Pd  0.9808  0.1616  0.8742
Au  0.5000  0.0000  0.0000


(2)
The following is a computed powder XRD pattern of Y3Pd8Au2. It was derived from a cell relaxed with GGA-PBE, using Cu Kα (weighted mean of Kα1 and Kα2).

The 10 most intense peaks (2θ from 10° to 90°), by intensity:
2theta, d_spacing, I/Imax
37.42, 2.403, 100
39.49, 2.282, 67
33.64, 2.664, 53
34.78, 2.580, 43
62.66, 1.483, 43
38.01, 2.367, 36
70.72, 1.332, 33
22.43, 3.964, 29
44.28, 2.046, 23
41.78, 2.162, 23

Cell and atoms:
Cell: 10.7709 10.7709 10.7709 Å, 28.64 28.64 28.64°
Fractional coordinates of all 13 atoms:
Y  0.0000  0.0000  0.0000
Y  0.1883  0.1883  0.1883
Y  0.8117  0.8117  0.8117
Pd  0.2286  0.7326  0.7326
Pd  0.2674  0.2674  0.7714
Pd  0.2674  0.7714  0.2674
Pd  0.2765  0.2765  0.2765
Pd  0.7235  0.7235  0.7235
Pd  0.7326  0.2286  0.7326
Pd  0.7326  0.7326  0.2286
Pd  0.7714  0.2674  0.2674
Au  0.3612  0.3612  0.3612
Au  0.6388  0.6388  0.6388


(3)
The following is a computed powder XRD pattern of Y2PdAu3. It was derived from a cell relaxed with GGA-PBE, using Cu Kα (weighted mean of Kα1 and Kα2).

The 10 most intense peaks (2θ from 10° to 90°), by intensity:
2theta, d_spacing, I/Imax
39.85, 2.262, 100
30.89, 2.895, 66
24.07, 3.697, 50
38.69, 2.327, 37
19.07, 4.655, 23
34.65, 2.588, 23
53.57, 1.711, 23
75.76, 1.256, 20
70.80, 1.331, 19
49.56, 1.839, 19

Cell and atoms:
Cell: 7.2470 7.2470 7.2470 Å, 118.65 110.23 100.07°
Fractional coordinates of all 12 atoms:
Y  0.1866  0.1936  0.3802
Y  0.3134  0.6936  0.0070
Y  0.6866  0.3064  0.9930
Y  0.8134  0.8064  0.6198
Pd  0.0000  0.5000  0.5000
Pd  0.5000  0.0000  0.5000
Au  0.0793  0.7500  0.3293
Au  0.2500  0.2500  0.0000
Au  0.4207  0.7500  0.6707
Au  0.5793  0.2500  0.3293
Au  0.7500  0.7500  0.0000
Au  0.9207  0.2500  0.6707


(4)
The following is a computed powder XRD pattern of Y2Pd3Au3. It was derived from a cell relaxed with GGA-PBE, using Cu Kα (weighted mean of Kα1 and Kα2).

The 10 most intense peaks (2θ from 10° to 90°), by intensity:
2theta, d_spacing, I/Imax
38.18, 2.357, 100
36.56, 2.458, 84
41.47, 2.177, 58
33.31, 2.690, 39
39.19, 2.299, 30
60.54, 1.529, 26
69.95, 1.345, 22
66.74, 1.402, 16
60.67, 1.527, 15
63.88, 1.457, 15

Cell and atoms:
Cell: 5.3949 5.3949 5.3949 Å, 86.84 86.84 86.84°
Fractional coordinates of all 8 atoms:
Y  0.2457  0.2457  0.2457
Y  0.7543  0.7543  0.7543
Pd  0.0000  0.2365  0.7635
Pd  0.2365  0.7635  0.0000
Pd  0.7635  0.0000  0.2365
Au  0.2610  0.7390  0.5000
Au  0.5000  0.2610  0.7390
Au  0.7390  0.5000  0.2610